This entry pairs a crystal structure of LiMnPH12O10 with its computed PXRD pattern. Radiation: Cu Kα, 1.54184 Å. Structure: a cell relaxed with PBE+U.
Kinematic intensities with the Lorentz-polarization factor, no thermal factor.

Crystal structure
Cell: 6.772 6.269 11.228 Å, 90.00 90.00 90.00°
Space group Pmn2_1 (No. 31)
Inequivalent atoms, fractional coordinates:
Li 0.000 0.039 0.000
Mn 0.000 0.886 0.710
P 0.000 0.491 0.344
H 0.000 0.235 0.547
H 0.000 0.335 0.681
H 0.120 0.499 0.826
H 0.155 0.320 0.143
H 0.181 0.115 0.376
H 0.221 0.706 0.521
H 0.239 0.868 0.354
O 0.000 0.199 0.635
O 0.000 0.266 0.405
O 0.000 0.465 0.207
O 0.000 0.553 0.781
O 0.188 0.614 0.385
O 0.203 0.985 0.859
O 0.237 0.213 0.095

Top 10 peaks for 10 to 80 degrees two-theta, most intense first:
20.9 deg, I = 100.0, hkl 1 1 1
15.3 deg, I = 47.2, hkl 1 0 1
15.8 deg, I = 46.8, hkl 0 0 2
16.2 deg, I = 45.7, hkl 0 1 1
27.2 deg, I = 30.6, hkl 1 0 3
32.7 deg, I = 27.0, hkl 0 2 2
30.8 deg, I = 25.6, hkl 2 0 2
31.1 deg, I = 21.8, hkl 2 1 1
54.1 deg, I = 17.3, hkl 4 0 0
21.2 deg, I = 16.5, hkl 0 1 2